The following is a computed powder XRD pattern of Er2BPd6. It was derived from a cell relaxed with GGA-PBE, using Cu Kα.
No peak broadening, texture or thermal motion is included.

Crystal structure
```
data_Er2BPd6
_cell_length_a 4.283
_cell_length_b 4.283
_cell_length_c 8.084
_cell_angle_alpha 90.00
_cell_angle_beta 90.00
_cell_angle_gamma 90.00
_symmetry_space_group_name_H-M 'P 4/m m m'
_symmetry_Int_Tables_number 123
_symmetry_space_group_name_Hall '-P 4 2'
loop_
_atom_site_label
_atom_site_type_symbol
_atom_site_fract_x
_atom_site_fract_y
_atom_site_fract_z
_atom_site_occupancy
Er1 Er 0.000 0.000 0.240 1
B1 B 0.500 0.500 0.500 1
Pd1 Pd 0.000 0.500 0.000 1
Pd2 Pd 0.000 0.500 0.500 1
Pd3 Pd 0.500 0.500 0.240 1
```

Principal peaks in the range 10° ≤ 2θ ≤ 80°, sorted by position:
(hkl), 2θ/deg, I (rel.)
1 0 0, 20.74, 2
1 0 2, 30.41, 3
1 1 2, 37.09, 100
2 0 0, 42.20, 36
0 0 4, 44.85, 15
2 2 0, 61.20, 12
2 0 4, 63.27, 21
3 1 2, 73.78, 26
1 1 6, 77.55, 11
2 2 4, 79.01, 11